Starting from DFT lattice parameters and positions (GGA-PBE), the XRD peak list of NbNCl6 was calculated for a wavelength of 1.5418 Å.
Intensities are scaled so that the largest is 100.

Main lines, by angle (10° ≤ 2θ ≤ 90°):
d 6.114, intensity 73, hkl 0 0 2; d 6.059, intensity 74, hkl 2 0 0; d 5.398, intensity 100, hkl 1 1 -1; d 4.994, intensity 54, hkl 1 1 1; d 2.851, intensity 43, hkl 2 2 -1; d 2.818, intensity 40, hkl 1 1 -4; d 2.783, intensity 39, hkl 3 1 2; d 1.860, intensity 29, hkl 1 3 3

Cell and atoms:
a b c (Å): 12.4060 6.4941 12.5195
angles (deg): 90.00 102.38 90.00
Space group C2/c (No. 15)
Asymmetric unit:
Nb  0.2500  0.2500  0.0000 x4
N  0.0000  0.1192  0.2500 x4
Cl  0.0822  0.3827  0.8970 x8
Cl  0.1553  0.0502  0.5410 x8
Cl  0.2147  0.4151  0.1590 x8

***

Starting from DFT lattice parameters and positions (GGA-PBE), the XRD peak list of LuNi4As2 was calculated for a wavelength of 1.5418 Å.
Intensities are scaled so that the largest is 100.

Main lines, by angle (10° ≤ 2θ ≤ 90°):
d 2.542, intensity 26, hkl 2 2 0; d 2.445, intensity 100, hkl 2 1 1; d 2.274, intensity 40, hkl 3 1 0; d 2.107, intensity 26, hkl 2 2 1; d 1.946, intensity 40, hkl 3 1 1; d 1.883, intensity 26, hkl 0 0 2; d 1.450, intensity 18, hkl 3 1 2; d 1.343, intensity 21, hkl 4 3 1

Cell and atoms:
a b c (Å): 7.1903 7.1903 3.7651
angles (deg): 90.00 90.00 90.00
Space group P4_2/mnm (No. 136)
Asymmetric unit:
Lu  0.0000  0.0000  0.0000 x2
Ni  0.0896  0.3458  0.5000 x8
As  0.2169  0.7831  0.5000 x4

***

Starting from DFT lattice parameters and positions (GGA-PBE), the XRD peak list of CaF2 was calculated for a wavelength of 1.5418 Å.
Intensities are scaled so that the largest is 100.

Main lines, by angle (10° ≤ 2θ ≤ 90°):
d 3.051, intensity 48, hkl 1 0 2; d 2.852, intensity 48, hkl 1 1 1; d 2.339, intensity 47, hkl 1 1 2; d 2.204, intensity 100, hkl 2 1 1; d 1.981, intensity 56, hkl 0 1 3; d 1.821, intensity 43, hkl 0 2 0; d 1.744, intensity 32, hkl 3 0 2; d 1.654, intensity 38, hkl 2 1 3

Cell and atoms:
a b c (Å): 6.0135 3.6428 7.0807
angles (deg): 90.00 90.00 90.00
Space group Pnma (No. 62)
Asymmetric unit:
Ca  0.2485  0.2500  0.1055 x4
F  0.0153  0.2500  0.8394 x4
F  0.1414  0.2500  0.4223 x4

***

Starting from DFT lattice parameters and positions (GGA-PBE), the XRD peak list of LiSbP4O12 was calculated for a wavelength of 1.5418 Å.
Intensities are scaled so that the largest is 100.

Main lines, by angle (10° ≤ 2θ ≤ 90°):
d 5.802, intensity 100, hkl 0 1 1; d 5.464, intensity 49, hkl 1 1 0; d 5.306, intensity 63, hkl 1 0 -1; d 5.206, intensity 81, hkl 1 0 1; d 3.342, intensity 76, hkl 1 2 -1; d 3.317, intensity 48, hkl 1 2 1; d 3.211, intensity 53, hkl 1 1 -2; d 3.000, intensity 52, hkl 2 1 1

Cell and atoms:
a b c (Å): 7.0722 8.6066 7.8556
angles (deg): 90.00 91.09 90.00
Space group P2_1 (No. 4)
Asymmetric unit:
Li  0.2135  0.0000  0.3479 x2
Sb  0.2585  0.3235  0.7706 x2
P  0.0662  0.9696  0.9056 x2
P  0.1074  0.6042  0.4069 x2
P  0.4127  0.7685  0.8925 x2
P  0.4912  0.9933  0.6036 x2
O  0.0383  0.4676  0.2774 x2
O  0.0449  0.7608  0.3397 x2
O  0.0601  0.5560  0.5837 x2
O  0.0766  0.4424  0.9587 x2
O  0.1864  0.1134  0.9314 x2
O  0.1903  0.8153  0.8862 x2
O  0.3175  0.0962  0.5973 x2
O  0.3299  0.6041  0.3767 x2
O  0.4379  0.6150  0.8103 x2
O  0.4793  0.7952  0.0751 x2
O  0.4891  0.4053  0.2166 x2
O  0.5000  0.3864  0.5463 x2

***

Starting from DFT lattice parameters and positions (GGA-PBE), the XRD peak list of Tb5Mg was calculated for a wavelength of 1.5418 Å.
Intensities are scaled so that the largest is 100.

Main lines, by angle (10° ≤ 2θ ≤ 90°):
d 3.095, intensity 22, hkl 0 1 3; d 3.048, intensity 14, hkl 0 0 6; d 2.820, intensity 35, hkl 2 0 0; d 2.714, intensity 100, hkl 1 1 3; d 2.681, intensity 42, hkl 1 0 6; d 1.769, intensity 18, hkl 0 1 9; d 1.607, intensity 21, hkl 3 1 3; d 1.498, intensity 20, hkl 2 1 9

Cell and atoms:
a b c (Å): 5.6408 3.5932 18.2865
angles (deg): 90.00 90.00 90.00
Space group Amm2 (No. 38)
Asymmetric unit:
Tb  0.0000  0.0000  0.0000 x2
Tb  0.0000  0.0000  0.3304 x2
Tb  0.0000  0.0000  0.6692 x2
Tb  0.5000  0.0000  0.1165 x2
Tb  0.5000  0.0000  0.4469 x2
Mg  0.5000  0.0000  0.7792 x2

***

Starting from DFT lattice parameters and positions (GGA-PBE), the XRD peak list of K4CaU3O12 was calculated for a wavelength of 1.5418 Å.
Intensities are scaled so that the largest is 100.

Main lines, by angle (10° ≤ 2θ ≤ 90°):
d 6.135, intensity 28, hkl 1 1 0; d 4.338, intensity 68, hkl 2 0 0; d 3.067, intensity 100, hkl 2 2 0; d 2.169, intensity 32, hkl 4 0 0; d 1.940, intensity 32, hkl 4 2 0; d 1.771, intensity 41, hkl 4 2 2; d 1.534, intensity 20, hkl 4 4 0; d 1.159, intensity 23, hkl 6 4 2

Cell and atoms:
a b c (Å): 8.6760 8.6760 8.6760
angles (deg): 90.00 90.00 90.00
Space group Im-3m (No. 229)
Asymmetric unit:
K  0.2500  0.2500  0.2500 x8
Ca  0.0000  0.0000  0.0000 x2
U  0.0000  0.0000  0.5000 x6
O  0.0000  0.0000  0.2734 x12
O  0.0000  0.2500  0.5000 x12

***

Starting from DFT lattice parameters and positions (GGA-PBE), the XRD peak list of NaPF6 was calculated for a wavelength of 1.5418 Å.
Intensities are scaled so that the largest is 100.

Main lines, by angle (10° ≤ 2θ ≤ 90°):
d 4.560, intensity 30, hkl 1 1 1; d 3.949, intensity 100, hkl 2 0 0; d 1.974, intensity 28, hkl 4 0 0; d 1.766, intensity 21, hkl 4 2 0; d 1.520, intensity 10, hkl 3 3 3; d 1.396, intensity 11, hkl 4 4 0; d 1.316, intensity 9, hkl 6 0 0; d 1.095, intensity 7, hkl 6 4 0

Cell and atoms:
a b c (Å): 7.8973 7.8973 7.8973
angles (deg): 90.00 90.00 90.00
Space group Fm-3m (No. 225)
Asymmetric unit:
Na  0.0000  0.0000  0.0000 x4
P  0.0000  0.0000  0.5000 x4
F  0.0000  0.0000  0.2929 x24

***

Starting from DFT lattice parameters and positions (GGA-PBE), the XRD peak list of SrGe2B2O8 was calculated for a wavelength of 1.5418 Å.
Intensities are scaled so that the largest is 100.

Main lines, by angle (10° ≤ 2θ ≤ 90°):
d 3.725, intensity 96, hkl 2 1 0; d 3.634, intensity 91, hkl 1 1 2; d 3.422, intensity 100, hkl 1 2 1; d 3.104, intensity 65, hkl 2 0 2; d 3.071, intensity 62, hkl 0 2 2; d 2.898, intensity 89, hkl 1 0 3; d 2.792, intensity 87, hkl 2 2 1; d 2.051, intensity 62, hkl 0 4 0

Cell and atoms:
a b c (Å): 8.3626 8.2015 9.2672
angles (deg): 90.00 90.00 90.00
Space group Pnma (No. 62)
Asymmetric unit:
Sr  0.1120  0.2500  0.0703 x4
Ge  0.0526  0.0531  0.6898 x8
B  0.2405  0.0862  0.4181 x8
O  0.0308  0.7500  0.3283 x4
O  0.1074  0.0861  0.3150 x8
O  0.1252  0.0266  0.8677 x8
O  0.1927  0.7500  0.9338 x4
O  0.1963  0.0044  0.5579 x8

***

Starting from DFT lattice parameters and positions (GGA-PBE), the XRD peak list of CdIn2Se2S2 was calculated for a wavelength of 1.5418 Å.
Intensities are scaled so that the largest is 100.

Main lines, by angle (10° ≤ 2θ ≤ 90°):
d 6.538, intensity 18, hkl 1 1 1; d 4.004, intensity 27, hkl 2 2 0; d 3.415, intensity 100, hkl 3 1 1; d 2.831, intensity 45, hkl 4 0 0; d 2.179, intensity 51, hkl 5 1 1; d 2.002, intensity 89, hkl 4 4 0; d 1.474, intensity 22, hkl 5 5 3; d 1.156, intensity 26, hkl 8 4 4

Cell and atoms:
a b c (Å): 11.3249 11.3249 11.3249
angles (deg): 90.00 90.00 90.00
Space group F-43m (No. 216)
Asymmetric unit:
Cd  0.0000  0.0000  0.0000 x4
Cd  0.2500  0.2500  0.2500 x4
In  0.1217  0.1217  0.6217 x16
Se  0.1343  0.1343  0.8657 x16
S  0.1148  0.1148  0.3852 x16

***

Starting from DFT lattice parameters and positions (GGA-PBE), the XRD peak list of Ba5In2Sb6 was calculated for a wavelength of 1.5418 Å.
Intensities are scaled so that the largest is 100.

Main lines, by angle (10° ≤ 2θ ≤ 90°):
d 3.952, intensity 59, hkl 1 2 1; d 3.241, intensity 100, hkl 3 1 1; d 3.149, intensity 97, hkl 2 3 1; d 3.045, intensity 73, hkl 0 4 1; d 2.794, intensity 76, hkl 3 3 1; d 2.435, intensity 76, hkl 0 0 2; d 2.270, intensity 52, hkl 3 5 1; d 1.610, intensity 56, hkl 6 6 1

Cell and atoms:
a b c (Å): 13.5614 15.6050 4.8699
angles (deg): 90.00 90.00 90.00
Space group Pbam (No. 55)
Asymmetric unit:
Ba  0.0000  0.0000  0.0000 x2
Ba  0.0873  0.2520  0.0000 x4
Ba  0.1724  0.5175  0.0000 x4
In  0.1739  0.7115  0.5000 x4
Sb  0.0139  0.4081  0.5000 x4
Sb  0.1566  0.0968  0.5000 x4
Sb  0.1628  0.8174  0.0000 x4

***

Starting from DFT lattice parameters and positions (GGA-PBE), the XRD peak list of NpAsSe was calculated for a wavelength of 1.5418 Å.
Intensities are scaled so that the largest is 100.

Main lines, by angle (10° ≤ 2θ ≤ 90°):
d 3.597, intensity 91, hkl 1 0 1; d 2.815, intensity 48, hkl 1 1 0; d 2.799, intensity 28, hkl 0 0 3; d 2.669, intensity 43, hkl 1 1 1; d 2.338, intensity 100, hkl 1 1 2; d 2.290, intensity 61, hkl 1 0 3; d 1.990, intensity 50, hkl 2 0 0; d 1.502, intensity 33, hkl 2 1 3

Cell and atoms:
a b c (Å): 3.9810 3.9810 8.3974
angles (deg): 90.00 90.00 90.00
Space group P4/nmm (No. 129, origin choice 2)
Asymmetric unit:
Np  0.2500  0.2500  0.2237 x2
As  0.2500  0.7500  0.5000 x2
Se  0.2500  0.2500  0.8638 x2